Diffraction record for Co2TeI2O3. The X-ray powder pattern is simulated, not measured: it uses a crystal structure in OQMD, relaxed with GGA+U and Cu Kα.

Structural model:
```
data_Co2TeI2O3
_cell_length_a 5.4427
_cell_length_b 6.7863
_cell_length_c 8.6780
_cell_angle_alpha 90.00
_cell_angle_beta 104.36
_cell_angle_gamma 90.00
_symmetry_space_group_name_H-M 'P 1 21/m 1'
_symmetry_Int_Tables_number 11
loop_
_symmetry_equiv_pos_as_xyz
'x,y,z'
'-x,-y,-z'
'-x,y+1/2,-z'
'x,-y+1/2,z'
loop_
_atom_site_label
_atom_site_type_symbol
_atom_site_fract_x
_atom_site_fract_y
_atom_site_fract_z
Co1 Co 0.0000 0.0000 0.0000
Co2 Co 0.2705 0.2500 0.8184
Te1 Te 0.4085 0.7500 0.7690
I1 I 0.1632 0.2500 0.4847
I2 I 0.2615 0.7500 0.2351
O1 O 0.2510 0.5420 0.8577
O2 O 0.2601 0.2500 0.0662
```

Peak list (6 most intense, 5° ≤ 2θ ≤ 70°, by intensity)
Position (°2θ)	d/Å	I/Imax	index
27.03	3.299	100	1 1 -2
26.26	3.393	80	0 2 0
35.61	2.521	59	2 1 -1
30.30	2.950	44	1 0 2
25.67	3.471	38	1 1 1
33.12	2.705	37	1 1 2